# 1
For Pm5Os2Rh, a DFT-relaxed cell (PBE, Alexandria) gives the simulated powder XRD pattern in this record (copper Kα).

Cell: 8.9485 8.9485 8.9485 Å, 129.85 129.85 73.65°
Positions (direct):
Pm 0.0000 0.0000 0.0000
Pm 0.0366 0.5366 0.8563
Pm 0.1803 0.0366 0.5000
Pm 0.3197 0.8197 0.8563
Pm 0.4634 0.3197 0.5000
Pm 0.5000 0.5000 0.0000
Pm 0.5366 0.6803 0.5000
Pm 0.6803 0.1803 0.1437
Pm 0.8197 0.9634 0.5000
Pm 0.9634 0.4634 0.1437
Os 0.1166 0.3834 0.5000
Os 0.3834 0.8834 0.2667
Os 0.6166 0.1166 0.7333
Os 0.8834 0.6166 0.5000
Rh 0.2500 0.2500 0.0000
Rh 0.7500 0.7500 0.0000

Top 10 peaks for 10° ≤ 2θ ≤ 80°, low angle first:
| 2theta | d (Å) | I_rel |
| --- | --- | --- |
| 12.36 | 7.163 | 26 |
| 32.37 | 2.765 | 100 |
| 33.41 | 2.682 | 14 |
| 34.44 | 2.604 | 43 |
| 37.49 | 2.399 | 39 |
| 37.67 | 2.388 | 13 |
| 41.24 | 2.189 | 17 |
| 43.48 | 2.081 | 15 |
| 51.02 | 1.790 | 13 |
| 68.27 | 1.374 | 14 |

=====

# 2
For Pm2OsRu3, a DFT-relaxed cell (PBE, Alexandria) gives the simulated powder XRD pattern in this record (copper Kα).

Cell: 5.3714 5.3714 8.9206 Å, 90.00 90.00 120.00°
Positions (direct):
Pm 0.3333 0.6667 0.0652
Pm 0.3333 0.6667 0.4348
Pm 0.6667 0.3333 0.5652
Pm 0.6667 0.3333 0.9348
Os 0.0000 0.0000 0.0000
Os 0.0000 0.0000 0.5000
Ru 0.1694 0.3389 0.7500
Ru 0.1694 0.8306 0.7500
Ru 0.3389 0.1694 0.2500
Ru 0.6611 0.8306 0.7500
Ru 0.8306 0.1694 0.2500
Ru 0.8306 0.6611 0.2500

Top 10 peaks for 10° ≤ 2θ ≤ 80°, low angle first:
| 2theta | d (Å) | I_rel |
| --- | --- | --- |
| 33.36 | 2.686 | 46 |
| 35.84 | 2.505 | 59 |
| 39.15 | 2.301 | 100 |
| 40.06 | 2.251 | 53 |
| 43.90 | 2.062 | 17 |
| 45.08 | 2.011 | 16 |
| 61.25 | 1.513 | 23 |
| 63.52 | 1.465 | 24 |
| 65.99 | 1.416 | 27 |
| 70.07 | 1.343 | 23 |

=====

# 3
For Pm6Os2Ru, a DFT-relaxed cell (PBE, Alexandria) gives the simulated powder XRD pattern in this record (copper Kα).

Cell: 6.8236 7.3703 11.7834 Å, 90.00 123.26 90.00°
Positions (direct):
Pm 0.0760 0.0294 0.2397
Pm 0.0760 0.4706 0.7397
Pm 0.2303 0.6603 0.0752
Pm 0.2303 0.8397 0.5752
Pm 0.3973 0.1701 0.0756
Pm 0.3973 0.3299 0.5756
Pm 0.6027 0.6701 0.4244
Pm 0.6027 0.8299 0.9244
Pm 0.7697 0.1603 0.4248
Pm 0.7697 0.3397 0.9248
Pm 0.9240 0.5294 0.2603
Pm 0.9240 0.9706 0.7603
Os 0.3227 0.1454 0.7895
Os 0.3227 0.3546 0.2895
Os 0.6773 0.6454 0.7105
Os 0.6773 0.8546 0.2105
Ru 0.5000 0.0000 0.5000
Ru 0.5000 0.5000 0.0000

Top 10 peaks for 10° ≤ 2θ ≤ 80°, low angle first:
| 2theta | d (Å) | I_rel |
| --- | --- | --- |
| 28.85 | 3.095 | 40 |
| 29.15 | 3.064 | 35 |
| 29.77 | 3.001 | 45 |
| 30.61 | 2.921 | 100 |
| 32.80 | 2.730 | 51 |
| 33.02 | 2.713 | 38 |
| 33.69 | 2.660 | 30 |
| 36.65 | 2.452 | 44 |
| 38.97 | 2.311 | 61 |
| 46.28 | 1.962 | 42 |

=====

# 4
For Pm3SbOs, a DFT-relaxed cell (PBE, Alexandria) gives the simulated powder XRD pattern in this record (copper Kα).

Cell: 5.4567 5.4567 5.4567 Å, 90.00 90.00 90.00°
Positions (direct):
Pm 0.0000 0.0000 0.5000
Pm 0.0000 0.5000 0.0000
Pm 0.5000 0.0000 0.0000
Sb 0.5000 0.5000 0.5000
Os 0.0000 0.0000 0.0000

Top 10 peaks for 10° ≤ 2θ ≤ 80°, low angle first:
| 2theta | d (Å) | I_rel |
| --- | --- | --- |
| 16.24 | 5.457 | 44 |
| 23.05 | 3.858 | 22 |
| 28.33 | 3.150 | 50 |
| 32.83 | 2.728 | 100 |
| 36.83 | 2.440 | 24 |
| 47.11 | 1.929 | 73 |
| 50.15 | 1.819 | 13 |
| 55.88 | 1.645 | 22 |
| 58.60 | 1.575 | 25 |
| 78.37 | 1.220 | 33 |

=====

# 5
For Pm3SmOs8, a DFT-relaxed cell (PBE, Alexandria) gives the simulated powder XRD pattern in this record (copper Kα).

Cell: 9.3907 9.3907 9.3907 Å, 33.56 33.56 33.56°
Positions (direct):
Pm 0.0000 0.0000 0.0000
Pm 0.1252 0.1252 0.1252
Pm 0.6252 0.6252 0.6252
Sm 0.5001 0.5001 0.5001
Os 0.0588 0.5657 0.5657
Os 0.0657 0.0657 0.5575
Os 0.0657 0.5575 0.0657
Os 0.3157 0.3157 0.3157
Os 0.5575 0.0657 0.0657
Os 0.5657 0.0588 0.5657
Os 0.5657 0.5657 0.0588
Os 0.8158 0.8158 0.8158

Top 10 peaks for 10° ≤ 2θ ≤ 80°, low angle first:
| 2theta | d (Å) | I_rel |
| --- | --- | --- |
| 20.06 | 4.427 | 14 |
| 33.04 | 2.711 | 21 |
| 38.95 | 2.312 | 100 |
| 40.76 | 2.214 | 48 |
| 47.42 | 1.917 | 9 |
| 51.98 | 1.759 | 4 |
| 59.01 | 1.565 | 8 |
| 62.99 | 1.476 | 33 |
| 69.32 | 1.356 | 30 |
| 78.96 | 1.212 | 3 |

=====

# 6
For Pm12SmOs4, a DFT-relaxed cell (PBE, Alexandria) gives the simulated powder XRD pattern in this record (copper Kα).

Cell: 9.0699 9.0699 9.0699 Å, 109.47 109.47 109.47°
Positions (direct):
Pm 0.1352 0.8228 0.3124
Pm 0.1772 0.3124 0.4896
Pm 0.1772 0.6876 0.8648
Pm 0.3124 0.1352 0.8228
Pm 0.3124 0.4896 0.1772
Pm 0.4896 0.1772 0.3124
Pm 0.5104 0.8228 0.6876
Pm 0.6876 0.5104 0.8228
Pm 0.6876 0.8648 0.1772
Pm 0.8228 0.3124 0.1352
Pm 0.8228 0.6876 0.5104
Pm 0.8648 0.1772 0.6876
Sm 0.0000 0.0000 0.0000
Os 0.0000 0.0000 0.5000
Os 0.0000 0.5000 0.0000
Os 0.5000 0.0000 0.0000
Os 0.5000 0.5000 0.5000

Top 10 peaks for 10° ≤ 2θ ≤ 80°, low angle first:
| 2theta | d (Å) | I_rel |
| --- | --- | --- |
| 16.93 | 5.237 | 59 |
| 26.92 | 3.312 | 100 |
| 31.97 | 2.799 | 74 |
| 34.25 | 2.618 | 31 |
| 38.44 | 2.342 | 52 |
| 42.28 | 2.138 | 61 |
| 50.84 | 1.796 | 41 |
| 53.97 | 1.699 | 32 |
| 76.03 | 1.252 | 16 |
| 77.31 | 1.234 | 40 |

=====

# 7
For Pm6SnOs, a DFT-relaxed cell (PBE, Alexandria) gives the simulated powder XRD pattern in this record (copper Kα).

Cell: 6.5421 6.5421 6.6425 Å, 98.76 98.76 104.15°
Positions (direct):
Pm 0.0616 0.6894 0.7123
Pm 0.2894 0.2894 0.8608
Pm 0.3106 0.9384 0.2877
Pm 0.6894 0.0616 0.7123
Pm 0.7106 0.7106 0.1392
Pm 0.9384 0.3106 0.2877
Sn 0.5000 0.5000 0.5000
Os 0.0000 0.0000 0.0000

Top 10 peaks for 10° ≤ 2θ ≤ 80°, low angle first:
| 2theta | d (Å) | I_rel |
| --- | --- | --- |
| 22.08 | 4.026 | 37 |
| 23.58 | 3.772 | 43 |
| 28.60 | 3.121 | 29 |
| 29.60 | 3.017 | 45 |
| 32.80 | 2.730 | 43 |
| 32.91 | 2.722 | 100 |
| 35.00 | 2.564 | 60 |
| 35.98 | 2.496 | 41 |
| 47.50 | 1.914 | 32 |
| 56.54 | 1.628 | 27 |

=====

# 8
For TbPm3Os, a DFT-relaxed cell (PBE, Alexandria) gives the simulated powder XRD pattern in this record (copper Kα).

Cell: 7.5034 7.5034 7.5034 Å, 101.79 120.05 107.15°
Positions (direct):
Tb 0.0272 0.2500 0.2772
Tb 0.9728 0.7500 0.7228
Pm 0.0005 0.2912 0.7911
Pm 0.0005 0.7094 0.2093
Pm 0.4801 0.2506 0.7295
Pm 0.5000 0.2094 0.2089
Pm 0.5000 0.7912 0.7907
Pm 0.5211 0.7506 0.2705
Os 0.0010 0.0003 0.5007
Os 0.4996 0.5003 0.4993

Top 10 peaks for 10° ≤ 2θ ≤ 80°, low angle first:
| 2theta | d (Å) | I_rel |
| --- | --- | --- |
| 15.08 | 5.877 | 23 |
| 27.49 | 3.244 | 33 |
| 30.42 | 2.939 | 23 |
| 30.75 | 2.908 | 33 |
| 31.18 | 2.868 | 100 |
| 36.91 | 2.435 | 26 |
| 38.03 | 2.366 | 20 |
| 40.49 | 2.228 | 26 |
| 49.97 | 1.825 | 36 |
| 50.92 | 1.793 | 24 |

=====

# 9
For PmTcOs, a DFT-relaxed cell (PBE, Alexandria) gives the simulated powder XRD pattern in this record (copper Kα).

Cell: 8.9488 5.4602 5.4602 Å, 58.68 90.00 90.00°
Positions (direct):
Pm 0.1824 0.0000 0.0000
Pm 0.3145 0.6679 0.6679
Pm 0.6855 0.6679 0.6679
Pm 0.8176 0.0000 0.0000
Tc 0.2457 0.3373 0.3373
Tc 0.5000 0.1657 0.6666
Tc 0.5000 0.6666 0.1657
Tc 0.7543 0.3373 0.3373
Os 0.0000 0.5024 0.5024
Os 0.0000 0.5032 0.9889
Os 0.0000 0.9889 0.5032
Os 0.5000 0.1569 0.1569

Top 10 peaks for 10° ≤ 2θ ≤ 80°, low angle first:
| 2theta | d (Å) | I_rel |
| --- | --- | --- |
| 35.52 | 2.528 | 27 |
| 35.73 | 2.513 | 75 |
| 38.64 | 2.330 | 100 |
| 39.19 | 2.299 | 74 |
| 39.95 | 2.257 | 85 |
| 40.31 | 2.237 | 24 |
| 43.77 | 2.068 | 17 |
| 63.32 | 1.469 | 20 |
| 65.77 | 1.420 | 31 |
| 68.79 | 1.365 | 24 |

=====

# 10
For Pm2ThOs9, a DFT-relaxed cell (PBE, Alexandria) gives the simulated powder XRD pattern in this record (copper Kα).

Cell: 5.3829 5.3829 9.2387 Å, 106.06 106.06 60.99°
Positions (direct):
Pm 0.1454 0.1454 0.4223
Pm 0.8546 0.8546 0.5777
Th 0.0000 0.0000 0.0000
Os 0.0656 0.5963 0.2370
Os 0.3628 0.3628 0.0059
Os 0.4037 0.9344 0.7630
Os 0.4172 0.4172 0.7392
Os 0.5000 0.5000 0.5000
Os 0.5828 0.5828 0.2608
Os 0.5963 0.0656 0.2370
Os 0.6372 0.6372 0.9941
Os 0.9344 0.4037 0.7630

Top 10 peaks for 10° ≤ 2θ ≤ 80°, low angle first:
| 2theta | d (Å) | I_rel |
| --- | --- | --- |
| 33.26 | 2.694 | 53 |
| 38.43 | 2.343 | 54 |
| 38.86 | 2.318 | 100 |
| 39.09 | 2.304 | 73 |
| 39.54 | 2.279 | 71 |
| 41.27 | 2.187 | 53 |
| 41.95 | 2.154 | 33 |
| 42.86 | 2.110 | 28 |
| 45.68 | 1.986 | 29 |
| 69.92 | 1.345 | 30 |

=====

# 11
For Pm6TlOs, a DFT-relaxed cell (PBE, Alexandria) gives the simulated powder XRD pattern in this record (copper Kα).

Cell: 6.6125 6.6125 6.6564 Å, 98.99 98.99 105.02°
Positions (direct):
Pm 0.0550 0.6868 0.7139
Pm 0.2828 0.2828 0.8481
Pm 0.3132 0.9450 0.2861
Pm 0.6868 0.0550 0.7139
Pm 0.7172 0.7172 0.1519
Pm 0.9450 0.3132 0.2861
Tl 0.5000 0.5000 0.5000
Os 0.0000 0.0000 0.0000

Top 10 peaks for 10° ≤ 2θ ≤ 80°, low angle first:
| 2theta | d (Å) | I_rel |
| --- | --- | --- |
| 21.80 | 4.077 | 36 |
| 23.49 | 3.787 | 19 |
| 27.97 | 3.190 | 20 |
| 28.48 | 3.134 | 23 |
| 29.08 | 3.071 | 19 |
| 29.74 | 3.004 | 28 |
| 32.63 | 2.745 | 100 |
| 34.89 | 2.572 | 41 |
| 35.69 | 2.516 | 28 |
| 50.02 | 1.824 | 19 |

=====

# 12
For Pm12Tl6Os, a DFT-relaxed cell (PBE, Alexandria) gives the simulated powder XRD pattern in this record (copper Kα).

Cell: 8.5405 8.5405 8.5405 Å, 94.02 94.02 94.02°
Positions (direct):
Pm 0.0258 0.6847 0.9140
Pm 0.0860 0.9742 0.3153
Pm 0.2013 0.5464 0.4270
Pm 0.3153 0.0860 0.9742
Pm 0.4270 0.2013 0.5464
Pm 0.4536 0.5730 0.7987
Pm 0.5464 0.4270 0.2013
Pm 0.5730 0.7987 0.4536
Pm 0.6847 0.9140 0.0258
Pm 0.7987 0.4536 0.5730
Pm 0.9140 0.0258 0.6847
Pm 0.9742 0.3153 0.0860
Tl 0.1373 0.3456 0.7283
Tl 0.2717 0.8627 0.6544
Tl 0.3456 0.7283 0.1373
Tl 0.6544 0.2717 0.8627
Tl 0.7283 0.1373 0.3456
Tl 0.8627 0.6544 0.2717
Os 0.0000 0.0000 0.0000

Top 10 peaks for 10° ≤ 2θ ≤ 80°, low angle first:
| 2theta | d (Å) | I_rel |
| --- | --- | --- |
| 15.30 | 5.793 | 22 |
| 27.28 | 3.269 | 33 |
| 30.49 | 2.932 | 100 |
| 32.57 | 2.749 | 49 |
| 34.12 | 2.628 | 23 |
| 34.78 | 2.579 | 73 |
| 39.56 | 2.278 | 18 |
| 45.09 | 2.011 | 16 |
| 56.04 | 1.641 | 16 |
| 66.06 | 1.414 | 22 |